This entry pairs a crystal structure of Ca3Co2Si4O14 with its calculated PXRD pattern. Radiation: Cu Kα X-rays. Structure: a crystal structure in Alexandria, relaxed with PBE+U.
No peak broadening, texture or thermal motion is included.

Cell and atoms:
```
data_Ca3Co2Si4O14
_chemical_formula_sum 'Ca12 Co8 Si16 O56'
_space_group_name_H-M_alt 'C 1 2/c 1'
_space_group_IT_number 15
_space_group_name_Hall '-C 2yc'
_cell_length_a 16.9853
_cell_length_b 7.7020
_cell_length_c 10.0417
_cell_angle_alpha 90.00
_cell_angle_beta 123.19
_cell_angle_gamma 90.00
loop_
_atom_site_label
_atom_site_type_symbol
_atom_site_fract_x
_atom_site_fract_y
_atom_site_fract_z
Ca1 Ca 0.0000 0.1517 0.2500
Ca2 Ca 0.1959 0.4664 0.4592
Co1 Co 0.0000 0.2897 0.7500
Co2 Co 0.0000 0.5000 0.0000
Si1 Si 0.1262 0.1644 0.6467
Si2 Si 0.1743 0.2107 0.1551
O1 O 0.0527 0.1021 0.6925
O2 O 0.0637 0.4616 0.7132
O3 O 0.0869 0.2944 0.4958
O4 O 0.1003 0.3408 0.0137
O5 O 0.1637 0.0072 0.0913
O6 O 0.1796 0.2114 0.3204
O7 O 0.2225 0.2308 0.8179
```

Top 12 peaks for 15 to 90 degrees two-theta, sorted by position:
27.75 deg, I 814
28.66 deg, I 242
29.01 deg, I 599
30.05 deg, I 248
31.53 deg, I 1000
32.28 deg, I 606
35.84 deg, I 273
39.51 deg, I 584
44.45 deg, I 239
48.61 deg, I 203
51.64 deg, I 262
61.21 deg, I 192